Record 1
This entry pairs a crystal structure of Ta6Ru5Pt with its computed XRD peak list. Radiation: Cu Ka. Structure: a GGA-PBE-relaxed structure.

Crystal structure
a = 4.2250 Å, b = 7.1793 Å, c = 12.7725 Å
α = 90.00°, β = 90.00°, γ = 90.00°
Space group Immm (No. 71)
Unique sites:
Ta1 0.0000 0.2357 0.0000 (multiplicity 4)
Ta2 0.0000 0.2564 0.3321 (multiplicity 8)
Ru1 0.0000 0.0000 0.1741 (multiplicity 4)
Ru2 0.0000 0.5000 0.1569 (multiplicity 4)
Ru3 0.0000 0.5000 0.5000 (multiplicity 2)
Pt1 0.0000 0.0000 0.5000 (multiplicity 2)

Most intense lines, 5 to 70 degrees two-theta, sorted by position:
3.590 Å, intensity 3; 2.999 Å, intensity 4; 2.401 Å, intensity 2; 2.301 Å, intensity 100; 2.129 Å, intensity 20; 2.112 Å, intensity 20; 1.795 Å, intensity 12; 1.499 Å, intensity 13; 1.372 Å, intensity 9; 1.368 Å, intensity 9

Record 2
This entry pairs a crystal structure of MnInCuTe3 with its computed XRD peak list. Radiation: Cu Ka. Structure: a GGA-PBE-relaxed structure.

Crystal structure
a = 14.7609 Å, b = 4.4753 Å, c = 6.2770 Å
α = 90.00°, β = 115.14°, γ = 90.00°
Space group Cm (No. 8)
Unique sites:
Mn1 0.0000 0.0000 0.0000 (multiplicity 2)
In1 0.3262 0.0000 0.3157 (multiplicity 2)
Cu1 0.1597 0.5000 0.6728 (multiplicity 2)
Te1 0.0075 0.5000 0.2581 (multiplicity 2)
Te2 0.1557 0.0000 0.8800 (multiplicity 2)
Te3 0.3228 0.5000 0.6012 (multiplicity 2)

Most intense lines, 5 to 70 degrees two-theta, sorted by position:
3.638 Å, intensity 100; 2.238 Å, intensity 13; 2.226 Å, intensity 59; 1.905 Å, intensity 16; 1.900 Å, intensity 15; 1.895 Å, intensity 14; 1.579 Å, intensity 8; 1.569 Å, intensity 3; 1.445 Å, intensity 8; 1.443 Å, intensity 5

Record 3
This entry pairs a crystal structure of Sr2MnBiSe5 with its computed XRD peak list. Radiation: Cu Ka. Structure: a GGA-PBE-relaxed structure.

Crystal structure
a = 4.2144 Å, b = 18.5486 Å, c = 12.9277 Å
α = 90.00°, β = 90.00°, γ = 90.00°
Space group Cmc2_1 (No. 36)
Unique sites:
Sr1 0.0000 0.1155 0.0000 (multiplicity 4)
Sr2 0.0000 0.1205 0.6493 (multiplicity 4)
Mn1 0.0000 0.4495 0.7344 (multiplicity 4)
Bi1 0.0000 0.2005 0.3485 (multiplicity 4)
Se1 0.0000 0.0241 0.3245 (multiplicity 4)
Se2 0.0000 0.2898 0.0038 (multiplicity 4)
Se3 0.0000 0.3223 0.6813 (multiplicity 4)
Se4 0.0000 0.3491 0.3254 (multiplicity 4)
Se5 0.0000 0.4944 0.0683 (multiplicity 4)

Most intense lines, 5 to 70 degrees two-theta, sorted by position:
5.303 Å, intensity 16; 4.365 Å, intensity 10; 3.913 Å, intensity 17; 3.007 Å, intensity 42; 2.974 Å, intensity 100; 2.557 Å, intensity 54; 2.155 Å, intensity 10; 2.108 Å, intensity 36; 1.843 Å, intensity 11; 1.726 Å, intensity 17

Record 4
This entry pairs a crystal structure of CsEr4Te6 with its computed XRD peak list. Radiation: Cu Ka. Structure: a GGA-PBE-relaxed structure.

Crystal structure
a = 4.4296 Å, b = 14.6587 Å, c = 23.3801 Å
α = 90.00°, β = 90.00°, γ = 90.00°
Space group Cmcm (No. 63)
Unique sites:
Cs1 0.0000 0.1632 0.2500 (multiplicity 4)
Er1 0.0000 0.0935 0.6286 (multiplicity 8)
Er2 0.0000 0.3657 0.5377 (multiplicity 8)
Te1 0.0000 0.0000 0.0000 (multiplicity 4)
Te2 0.0000 0.1368 0.7500 (multiplicity 4)
Te3 0.0000 0.2700 0.0814 (multiplicity 8)
Te4 0.0000 0.4599 0.6494 (multiplicity 8)

Most intense lines, 5 to 70 degrees two-theta, sorted by position:
11.690 Å, intensity 39; 3.440 Å, intensity 51; 3.250 Å, intensity 75; 3.160 Å, intensity 100; 3.039 Å, intensity 30; 3.025 Å, intensity 57; 2.406 Å, intensity 29; 2.255 Å, intensity 58; 2.215 Å, intensity 75; 2.166 Å, intensity 45

Record 5
This entry pairs a crystal structure of LaTiNbO6 with its computed XRD peak list. Radiation: Cu Ka. Structure: a GGA-PBE-relaxed structure.

Crystal structure
a = 11.1448 Å, b = 5.4738 Å, c = 7.6347 Å
α = 90.00°, β = 90.00°, γ = 90.00°
Space group Pna2_1 (No. 33)
Unique sites:
La1 0.0414 0.0430 0.0000 (multiplicity 4)
Ti1 0.1403 0.5315 0.2638 (multiplicity 4)
Nb1 0.1478 0.5327 0.7490 (multiplicity 4)
O1 0.0264 0.2702 0.7125 (multiplicity 4)
O2 0.0279 0.2690 0.2854 (multiplicity 4)
O3 0.1228 0.6521 0.4954 (multiplicity 4)
O4 0.1442 0.4551 0.9989 (multiplicity 4)
O5 0.2089 0.8657 0.1911 (multiplicity 4)
O6 0.2129 0.8728 0.8035 (multiplicity 4)

Most intense lines, 5 to 70 degrees two-theta, sorted by position:
5.572 Å, intensity 19; 4.501 Å, intensity 22; 3.149 Å, intensity 31; 3.074 Å, intensity 71; 3.014 Å, intensity 100; 2.851 Å, intensity 19; 2.736 Å, intensity 28; 2.066 Å, intensity 25; 1.909 Å, intensity 19; 1.622 Å, intensity 22

Record 6
This entry pairs a crystal structure of Na4PmHo3S8 with its computed XRD peak list. Radiation: Cu Ka. Structure: a GGA-PBE-relaxed structure.

Crystal structure
a = 8.0014 Å, b = 8.0014 Å, c = 20.0477 Å
α = 90.00°, β = 90.00°, γ = 120.00°
Space group R-3m (No. 166, hexagonal axes)
Unique sites:
Na1 0.0000 0.0000 0.0000 (multiplicity 3)
Na2 0.0000 0.5000 0.0000 (multiplicity 9)
Pm1 0.0000 0.0000 0.5000 (multiplicity 3)
Ho1 0.0000 0.5000 0.5000 (multiplicity 9)
S1 0.0000 0.0000 0.2416 (multiplicity 6)
S2 0.0068 0.5034 0.7573 (multiplicity 18)

Most intense lines, 5 to 70 degrees two-theta, sorted by position:
6.683 Å, intensity 85; 3.414 Å, intensity 44; 3.275 Å, intensity 31; 2.850 Å, intensity 100; 2.622 Å, intensity 18; 2.207 Å, intensity 19; 2.031 Å, intensity 36; 2.000 Å, intensity 35; 1.916 Å, intensity 21; 1.637 Å, intensity 18

Record 7
This entry pairs a crystal structure of BiH2Ru2 with its computed XRD peak list. Radiation: Cu Ka. Structure: a GGA-PBE-relaxed structure.

Crystal structure
a = 3.2595 Å, b = 3.2595 Å, c = 11.4290 Å
α = 90.00°, β = 90.00°, γ = 90.00°
Space group I4/mmm (No. 139)
Unique sites:
Bi1 0.0000 0.0000 0.0000 (multiplicity 2)
H1 0.0000 0.5000 0.2500 (multiplicity 4)
Ru1 0.0000 0.0000 0.3311 (multiplicity 4)

Most intense lines, 5 to 70 degrees two-theta, sorted by position:
5.714 Å, intensity 9; 3.135 Å, intensity 12; 2.477 Å, intensity 100; 2.305 Å, intensity 40; 2.137 Å, intensity 4; 1.905 Å, intensity 11; 1.794 Å, intensity 3; 1.630 Å, intensity 14; 1.468 Å, intensity 20; 1.361 Å, intensity 31

Record 8
This entry pairs a crystal structure of LiEr3 with its computed XRD peak list. Radiation: Cu Ka. Structure: a GGA-PBE-relaxed structure.

Crystal structure
a = 3.6956 Å, b = 11.0618 Å, c = 5.4198 Å
α = 90.00°, β = 90.00°, γ = 90.00°
Space group Imm2 (No. 44)
Unique sites:
Li1 0.0000 0.0000 0.0000 (multiplicity 2)
Er1 0.0000 0.2746 0.5020 (multiplicity 4)
Er2 0.0000 0.5000 0.0008 (multiplicity 2)

Most intense lines, 5 to 70 degrees two-theta, sorted by position:
5.531 Å, intensity 13; 3.505 Å, intensity 19; 3.050 Å, intensity 36; 2.765 Å, intensity 23; 2.710 Å, intensity 28; 2.673 Å, intensity 100; 1.936 Å, intensity 16; 1.579 Å, intensity 20; 1.557 Å, intensity 20; 1.555 Å, intensity 13

Record 9
This entry pairs a crystal structure of CsSb2Pb3 with its computed XRD peak list. Radiation: Cu Ka. Structure: a GGA-PBE-relaxed structure.

Crystal structure
a = 17.4300 Å, b = 5.9753 Å, c = 10.0735 Å
α = 90.00°, β = 118.15°, γ = 90.00°
Space group C2/m (No. 12)
Unique sites:
Cs1 0.1548 0.0000 0.0829 (multiplicity 4)
Sb1 0.0243 0.5000 0.1673 (multiplicity 4)
Sb2 0.1640 0.0000 0.7120 (multiplicity 4)
Pb1 0.0413 0.0000 0.3616 (multiplicity 4)
Pb2 0.0875 0.5000 0.6606 (multiplicity 4)
Pb3 0.2159 0.5000 0.4334 (multiplicity 4)

Most intense lines, 5 to 70 degrees two-theta, sorted by position:
8.882 Å, intensity 73; 3.643 Å, intensity 26; 3.342 Å, intensity 22; 3.172 Å, intensity 100; 2.988 Å, intensity 80; 2.943 Å, intensity 60; 2.911 Å, intensity 26; 2.844 Å, intensity 25; 2.514 Å, intensity 38; 2.060 Å, intensity 31

Record 10
This entry pairs a crystal structure of Ag3GeO3 with its computed XRD peak list. Radiation: Cu Ka. Structure: a GGA-PBE-relaxed structure.

Crystal structure
a = 7.1619 Å, b = 12.3886 Å, c = 5.1238 Å
α = 90.00°, β = 90.00°, γ = 90.00°
Space group Cmcm (No. 63)
Unique sites:
Ag1 0.0000 0.2003 0.2500 (multiplicity 4)
Ag2 0.1991 0.3999 0.2500 (multiplicity 8)
Ge1 0.0000 0.3331 0.7500 (multiplicity 4)
O1 0.0000 0.1913 0.7500 (multiplicity 4)
O2 0.2123 0.4041 0.7500 (multiplicity 8)

Most intense lines, 5 to 70 degrees two-theta, sorted by position:
6.198 Å, intensity 21; 3.099 Å, intensity 48; 2.652 Å, intensity 100; 2.562 Å, intensity 47; 2.343 Å, intensity 28; 1.975 Å, intensity 25; 1.916 Å, intensity 25; 1.789 Å, intensity 18; 1.729 Å, intensity 21; 1.467 Å, intensity 17

Record 11
This entry pairs a crystal structure of K3Sb2Pt2 with its computed XRD peak list. Radiation: Cu Ka. Structure: a GGA-PBE-relaxed structure.

Crystal structure
a = 6.7678 Å, b = 8.7044 Å, c = 14.1418 Å
α = 90.00°, β = 90.00°, γ = 90.00°
Space group Pbcm (No. 57)
Unique sites:
K1 0.1272 0.1165 0.0983 (multiplicity 8)
K2 0.3179 0.6985 0.7500 (multiplicity 4)
Sb1 0.2070 0.0704 0.7500 (multiplicity 4)
Sb2 0.3981 0.7500 0.0000 (multiplicity 4)
Pt1 0.3988 0.0300 0.5886 (multiplicity 8)

Most intense lines, 5 to 70 degrees two-theta, sorted by position:
6.768 Å, intensity 99; 4.998 Å, intensity 64; 4.889 Å, intensity 46; 4.352 Å, intensity 27; 2.667 Å, intensity 28; 2.621 Å, intensity 100; 2.543 Å, intensity 31; 2.356 Å, intensity 24; 2.072 Å, intensity 40; 1.982 Å, intensity 44

Record 12
This entry pairs a crystal structure of Rb2LiScI6 with its computed XRD peak list. Radiation: Cu Ka. Structure: a GGA-PBE-relaxed structure.

Crystal structure
a = 11.7712 Å, b = 11.7712 Å, c = 11.7712 Å
α = 90.00°, β = 90.00°, γ = 90.00°
Space group Fm-3m (No. 225)
Unique sites:
Rb1 0.2500 0.2500 0.2500 (multiplicity 8)
Li1 0.0000 0.0000 0.0000 (multiplicity 4)
Sc1 0.0000 0.0000 0.5000 (multiplicity 4)
I1 0.0000 0.0000 0.2539 (multiplicity 24)

Most intense lines, 5 to 70 degrees two-theta, sorted by position:
6.796 Å, intensity 2; 5.886 Å, intensity 6; 3.398 Å, intensity 100; 2.943 Å, intensity 64; 2.632 Å, intensity 3; 2.081 Å, intensity 47; 1.775 Å, intensity 46; 1.699 Å, intensity 16; 1.471 Å, intensity 7; 1.350 Å, intensity 18